# 1
The following is a simulated X-ray powder pattern of MgTi4Zn2O10. It was derived from the PBE geometry in the Materials Project, using Cu Ka.
Lines closer than 0.1° are merged.

Crystal structure
```
data_MgTi4Zn2O10
_chemical_formula_sum 'Mg1 Ti4 Zn2 O10'
_symmetry_space_group_name_H-M 'P m m 2'
_symmetry_Int_Tables_number 25
_cell_length_a 3.3450
_cell_length_b 12.4369
_cell_length_c 6.9781
_cell_angle_alpha 90.00
_cell_angle_beta 90.00
_cell_angle_gamma 90.00
loop_
_symmetry_equiv_pos_as_xyz
'x,y,z'
'-x,-y,z'
'-x,y,z'
'x,-y,z'
loop_
_atom_site_label
_atom_site_type_symbol
_atom_site_fract_x
_atom_site_fract_y
_atom_site_fract_z
Mg1 Mg 0.0000 0.0000 0.0000
Ti1 Ti 0.0000 0.3599 0.3839
Ti2 Ti 0.5000 0.1444 0.3196
Zn1 Zn 0.0000 0.0000 0.6414
Zn2 Zn 0.5000 0.5000 0.6692
O1 O 0.0000 0.1836 0.4268
O2 O 0.0000 0.3966 0.6371
O3 O 0.0000 0.5000 0.2943
O4 O 0.5000 0.0000 0.4234
O5 O 0.5000 0.1043 0.0795
O6 O 0.5000 0.3169 0.2868
```

Principal peaks in the range 2θ = 10–90°, low angle first:
- hkl 0 0 1, 2θ 12.69, I 100
- hkl 0 2 0, 2θ 14.24, I 22
- hkl 0 2 1, 2θ 19.12, I 34
- hkl 0 2 2, 2θ 29.35, I 16
- hkl 1 1 1, 2θ 30.50, I 35
- hkl 0 4 1, 2θ 31.50, I 19
- hkl 1 3 0, 2θ 34.45, I 20
- hkl 1 1 2, 2θ 37.96, I 16
- hkl 0 0 3, 2θ 38.74, I 23
- hkl 1 3 3, 2θ 52.79, I 15

# 2
The following is a simulated X-ray powder pattern of Na3ZrF7. It was derived from the PBE geometry in the Materials Project, using Cu Ka.
Lines closer than 0.1° are merged.

Crystal structure
```
data_Na3ZrF7
_chemical_formula_sum 'Na6 Zr2 F14'
_symmetry_space_group_name_H-M 'C 1 m 1'
_symmetry_Int_Tables_number 8
_cell_length_a 7.7882
_cell_length_b 7.7618
_cell_length_c 6.3385
_cell_angle_alpha 90.00
_cell_angle_beta 124.34
_cell_angle_gamma 90.00
loop_
_symmetry_equiv_pos_as_xyz
'x,y,z'
'x,-y,z'
'x+1/2,y+1/2,z'
'x+1/2,-y+1/2,z'
loop_
_atom_site_label
_atom_site_type_symbol
_atom_site_fract_x
_atom_site_fract_y
_atom_site_fract_z
Na1 Na 0.0000 0.0000 0.0000
Na2 Na 0.0142 0.2670 0.5416
Zr1 Zr 0.4593 0.0000 0.0031
F1 F 0.1314 0.0000 0.7499
F2 F 0.1549 0.3169 0.2751
F3 F 0.1639 0.5000 0.8882
F4 F 0.3591 0.0000 0.2522
F5 F 0.3795 0.2293 0.7924
```

Principal peaks in the range 2θ = 10–90°, low angle first:
- hkl 0 0 1, 2θ 16.94, I 52
- hkl 1 1 0, 2θ 17.91, I 100
- hkl 1 1 -1, 2θ 18.56, I 66
- hkl 2 0 -1, 2θ 22.89, I 32
- hkl 2 0 0, 2θ 27.75, I 29
- hkl 0 2 1, 2θ 28.64, I 99
- hkl 2 0 -2, 2θ 29.44, I 47
- hkl 4 0 -2, 2θ 46.78, I 51
- hkl 2 2 1, 2θ 46.92, I 49
- hkl 2 2 -3, 2θ 49.11, I 44

# 3
The following is a simulated X-ray powder pattern of TaBeO3. It was derived from the PBE geometry in the Materials Project, using Cu Ka.
Lines closer than 0.1° are merged.

Crystal structure
```
data_TaBeO3
_chemical_formula_sum 'Ta1 Be1 O3'
_symmetry_space_group_name_H-M 'P m -3 m'
_symmetry_Int_Tables_number 221
_symmetry_space_group_name_Hall '-P 4 2 3'
_cell_length_a 3.4216
_cell_length_b 3.4216
_cell_length_c 3.4216
_cell_angle_alpha 90.00
_cell_angle_beta 90.00
_cell_angle_gamma 90.00
loop_
_atom_site_label
_atom_site_type_symbol
_atom_site_fract_x
_atom_site_fract_y
_atom_site_fract_z
Ta1 Ta 0.0000 0.0000 0.0000
Be1 Be 0.5000 0.5000 0.5000
O1 O 0.0000 0.5000 0.5000
```

Principal peaks in the range 2θ = 10–90°, low angle first:
- hkl 1 0 0, 2θ 26.04, I 100
- hkl 1 1 0, 2θ 37.16, I 95
- hkl 1 1 1, 2θ 45.94, I 59
- hkl 2 0 0, 2θ 53.57, I 30
- hkl 2 1 0, 2θ 60.50, I 42
- hkl 2 1 1, 2θ 66.99, I 36
- hkl 2 2 0, 2θ 79.18, I 18
- hkl 3 0 0, 2θ 85.05, I 21